Starting from a GGA+U-relaxed structure, the powder diffractogram of Ba2Mn2CuF14 was simulated for Cu Kα (weighted mean of Kα1 and Kα2).
No peak broadening, texture or thermal motion is included.

Structural model:
```
data_Ba2Mn2CuF14
_chemical_formula_sum 'Ba8 Mn8 Cu4 F56'
_space_group_name_H-M_alt 'C 1 2/c 1'
_space_group_IT_number 15
_cell_length_a 14.293
_cell_length_b 5.374
_cell_length_c 15.321
_cell_angle_alpha 90.00
_cell_angle_beta 91.33
_cell_angle_gamma 90.00
loop_
_space_group_symop_operation_xyz
'x,y,z'
'-x,-y,-z'
'-x,y,-z+1/2'
'x,-y,z+1/2'
'x+1/2,y+1/2,z'
'-x+1/2,-y+1/2,-z'
'-x+1/2,y+1/2,-z+1/2'
'x+1/2,-y+1/2,z+1/2'
loop_
_atom_site_label
_atom_site_fract_x
_atom_site_fract_y
_atom_site_fract_z
_atom_site_occupancy
Ba1 0.166 0.074 0.368 1
Mn1 0.133 0.027 0.123 1
Cu1 0.000 0.500 0.000 1
F1 0.014 0.070 0.648 1
F2 0.060 0.452 0.397 1
F3 0.086 0.214 0.026 1
F4 0.128 0.283 0.201 1
F5 0.148 0.238 0.546 1
F6 0.184 0.171 0.711 1
F7 0.247 0.378 0.906 1
```

The 6 most intense peaks (2θ from 5° to 70°), sorted by position:
two_theta, I (rel.), h k l
17.6, 24, 1 1 0
21.1, 20, 1 1 -2
23.2, 33, 0 0 4
25.0, 100, 3 1 0
29.4, 35, 1 1 4
37.8, 35, 6 0 0